In4Bi: simulated PXRD pattern (Cu Kα X-rays), based on a crystal structure in the Materials Project, relaxed with GGA-PBE.

Crystal structure
```
5
Lattice="2.727 -1.778 0.000 2.727 1.778 0.000 -0.080 0.000 14.893" Properties=species:S:1:pos:R:3 pbc="T T T"
In 0.511 0.000 4.414
In 1.561 0.000 13.415
In 3.812 0.000 1.478
In 4.862 0.000 10.480
Bi 2.687 0.000 7.447
```

Principal peaks in the range 2θ from 10° to 90°, by angle:
2theta, I (rel.)
30.00, 61
32.34, 100
33.44, 46
35.18, 79
40.92, 26
52.81, 24
57.23, 19
58.55, 17
60.67, 16
62.71, 29


In2Bi: simulated PXRD pattern (Cu Kα X-rays), based on a crystal structure in the Materials Project, relaxed with GGA-PBE.

Crystal structure
```
3
Lattice="0.000 2.516 8.189 2.201 0.000 8.189 2.201 2.516 0.000" Properties=species:S:1:pos:R:3 pbc="T T T"
In 2.201 2.516 2.748
In 2.201 2.516 13.631
Bi 2.201 2.516 8.189
```

Principal peaks in the range 2θ from 10° to 90°, by angle:
2theta, I (rel.)
31.59, 100
32.81, 23
35.68, 18
41.01, 12
49.25, 14
53.48, 11
57.80, 18
61.55, 15
65.96, 12
68.82, 13


In2Bi: simulated PXRD pattern (Cu Kα X-rays), based on a crystal structure in the Materials Project, relaxed with GGA-PBE.

Crystal structure
```
3
Lattice="5.573 0.000 0.000 -2.786 4.826 0.000 0.000 0.000 3.356" Properties=species:S:1:pos:R:3 pbc="T T T"
In 0.000 0.000 0.000
In 0.000 3.218 1.678
Bi 2.786 1.609 0.000
```

Principal peaks in the range 2θ from 10° to 90°, by angle:
2theta, I (rel.)
18.38, 15
32.12, 100
32.50, 84
42.15, 21
46.34, 31
57.27, 19
57.50, 33
64.87, 26
76.64, 14
83.19, 13


In2Bi: simulated PXRD pattern (Cu Kα X-rays), based on a crystal structure in the Materials Project, relaxed with GGA-PBE.

Crystal structure
```
3
Lattice="5.612 0.000 0.000 -2.806 4.860 0.000 0.000 0.000 3.308" Properties=species:S:1:pos:R:3 pbc="T T T"
In 0.000 3.240 0.000
In 2.806 1.620 0.000
Bi 0.000 0.000 1.654
```

Principal peaks in the range 2θ from 10° to 90°, by angle:
2theta, I (rel.)
18.25, 15
31.89, 99
32.74, 100
46.36, 38
56.83, 19
57.37, 41
65.50, 25
66.66, 12
76.27, 18
83.52, 13


In3Bi: simulated PXRD pattern (Cu Kα X-rays), based on a crystal structure in the Materials Project, relaxed with GGA-PBE.

Crystal structure
```
4
Lattice="4.926 0.000 0.000 0.000 4.926 0.000 0.000 0.000 4.926" Properties=species:S:1:pos:R:3 pbc="T T T"
In 0.000 0.000 2.463
In 0.000 2.463 0.000
In 2.463 0.000 0.000
Bi 2.463 2.463 2.463
```

Principal peaks in the range 2θ from 10° to 90°, by angle:
2theta, I (rel.)
18.01, 7
25.57, 6
31.45, 100
36.48, 50
52.54, 35
62.53, 41
65.65, 12
77.51, 6
86.02, 18
88.83, 16


In2Bi: simulated PXRD pattern (Cu Kα X-rays), based on a crystal structure in the Materials Project, relaxed with GGA-PBE.

Crystal structure
```
6
Lattice="5.581 0.000 0.000 -2.790 4.833 0.000 0.000 0.000 6.682" Properties=species:S:1:pos:R:3 pbc="T T T"
In 0.000 0.000 0.000
In 0.000 0.000 3.341
In 0.000 3.222 1.671
In 2.790 1.611 5.012
Bi 0.000 3.222 5.012
Bi 2.790 1.611 1.671
```

Principal peaks in the range 2θ from 10° to 90°, by angle:
2theta, I (rel.)
22.71, 14
32.08, 100
32.58, 77
42.20, 21
46.37, 29
57.18, 19
57.50, 30
65.08, 26
76.59, 13
83.33, 13


K11In6Bi9: simulated PXRD pattern (Cu Kα X-rays), based on a crystal structure in the Materials Project, relaxed with GGA-PBE.

Crystal structure
```
52
Lattice="12.286 0.000 0.000 3.226 13.177 0.000 6.128 1.768 12.413" Properties=species:S:1:pos:R:3 pbc="T T T"
K 0.000 0.000 0.000
K 1.613 6.589 0.000
K 3.058 3.716 3.549
K 6.196 4.214 9.671
K 6.114 7.533 7.677
K 6.769 12.940 2.402
K 9.266 11.512 6.034
K 9.731 2.048 10.046
K 12.122 8.358 11.515
K 9.178 7.594 5.076
K 6.178 3.010 0.876
K 12.320 11.196 8.805
K 9.321 3.749 3.607
K 15.463 11.936 11.537
K 12.463 7.352 7.337
K 9.519 6.588 0.898
K 11.911 12.897 2.366
K 12.375 3.434 6.379
K 14.872 2.005 10.011
K 15.527 7.413 4.736
K 15.445 10.732 2.742
K 18.583 11.229 8.864
In 4.273 1.618 6.676
In 9.340 11.357 11.025
In 6.258 4.563 5.617
In 6.617 8.968 2.568
In 9.615 6.087 9.869
In 8.047 1.648 6.703
In 13.594 13.297 5.710
In 12.026 8.858 2.543
In 15.024 5.978 9.844
In 15.384 10.382 6.795
In 12.301 3.589 1.388
In 17.368 13.327 5.737
Bi 5.776 10.359 5.275
Bi 2.618 2.921 0.008
Bi 9.406 13.784 8.949
Bi 9.306 8.955 9.025
Bi 11.915 12.091 12.384
Bi 6.197 6.054 2.952
Bi 6.176 1.791 4.286
Bi 8.912 4.590 7.200
Bi 9.348 10.296 2.658
Bi 12.293 4.650 9.755
Bi 12.729 10.356 5.212
Bi 15.465 13.154 8.127
Bi 15.444 8.892 9.461
Bi 9.726 2.854 0.029
Bi 12.335 5.990 3.387
Bi 12.235 1.162 3.464
Bi 19.023 12.024 12.405
Bi 15.865 4.586 7.138
```

Principal peaks in the range 2θ from 10° to 90°, by angle:
2theta, I (rel.)
13.58, 27
16.24, 65
20.67, 48
21.06, 38
29.04, 100
29.14, 43
29.35, 53
29.51, 51
36.15, 27
38.82, 34


InBi2N3: simulated PXRD pattern (Cu Kα X-rays), based on a crystal structure in the Materials Project, relaxed with GGA-PBE.

Crystal structure
```
24
Lattice="3.074 -5.540 0.000 3.074 5.540 0.000 -1.327 0.000 15.018" Properties=species:S:1:pos:R:3 pbc="T T T"
In 1.026 0.359 2.524
In 0.362 -0.359 10.033
In 4.458 0.359 4.985
In 3.795 -0.359 12.494
Bi 0.404 1.670 13.768
Bi 1.426 1.918 5.400
Bi 1.067 -1.670 6.259
Bi 0.763 -1.918 12.909
Bi 4.057 1.918 2.109
Bi 3.753 1.670 8.759
Bi 3.394 -1.918 9.618
Bi 4.416 -1.670 1.250
N 2.024 4.010 5.660
N 1.696 1.702 0.964
N 2.078 3.932 11.264
N 3.460 4.010 1.849
N 2.742 0.997 3.755
N 1.032 -1.702 8.473
N 3.788 1.702 6.545
N 2.078 -0.997 11.264
N 1.360 -4.010 13.170
N 2.742 -3.932 3.755
N 3.124 -1.702 14.054
N 2.796 -4.010 9.358
```

Principal peaks in the range 2θ from 10° to 90°, by angle:
2theta, I (rel.)
17.10, 34
23.36, 26
23.70, 57
29.16, 63
30.15, 100
31.18, 88
33.95, 27
39.57, 21
44.25, 20
46.77, 27


NbInBi2O7: simulated PXRD pattern (Cu Kα X-rays), based on a crystal structure in the Materials Project, relaxed with GGA-PBE.

Crystal structure
```
22
Lattice="-3.783 3.828 5.410 3.783 -3.828 5.410 3.783 3.828 -5.410" Properties=species:S:1:pos:R:3 pbc="T T T"
Nb 0.000 0.000 0.000
Nb 0.000 3.828 0.000
In -1.892 1.914 2.705
In 1.892 1.914 2.705
Bi 1.892 1.914 -2.705
Bi 1.892 -1.914 2.705
Bi 3.783 0.000 0.000
Bi 0.000 0.000 5.410
O 3.783 1.914 -1.406
O 1.489 0.189 1.365
O 6.078 0.189 1.365
O 3.783 -1.914 4.881
O 1.489 4.017 -1.365
O 3.783 1.914 1.608
O 2.295 0.189 4.046
O 1.489 3.639 1.365
O 0.000 1.914 3.803
O 2.295 -0.189 6.775
O 0.000 5.742 0.530
O -2.295 3.639 4.046
O 2.295 3.639 4.046
O 0.000 1.914 6.817
```

Principal peaks in the range 2θ from 10° to 90°, by angle:
2theta, I (rel.)
28.56, 96
28.79, 100
33.11, 25
33.29, 47
47.50, 16
47.67, 60
56.51, 46
56.90, 29
79.25, 15
88.57, 15


Ta4InBi3O16: simulated PXRD pattern (Cu Kα X-rays), based on a crystal structure in the Materials Project, relaxed with GGA-PBE.

Crystal structure
```
24
Lattice="5.517 0.000 0.000 -0.091 7.744 0.000 -0.353 -1.578 7.646" Properties=species:S:1:pos:R:3 pbc="T T T"
Ta 0.000 0.000 0.000
Ta -0.303 2.278 7.540
Ta 2.257 5.720 5.132
Ta 2.438 1.873 5.030
In 2.857 2.115 1.321
Bi -0.171 3.638 3.404
Bi 2.546 5.890 1.601
Bi 5.081 -0.218 3.813
O 0.452 5.731 0.106
O 0.503 6.254 5.900
O 0.955 1.644 3.782
O 1.103 6.056 3.322
O 1.242 3.546 1.636
O 1.678 0.383 0.962
O 1.383 1.664 6.719
O 1.819 3.835 4.968
O 2.818 -0.016 5.071
O 3.415 5.526 6.631
O 3.631 2.029 3.337
O 3.624 5.568 3.681
O 4.120 3.962 1.310
O 4.134 2.485 5.966
O 4.448 -0.314 1.678
O 4.869 1.843 0.032
```

Principal peaks in the range 2θ from 10° to 90°, by angle:
2theta, I (rel.)
27.75, 75
28.28, 57
28.86, 60
29.06, 100
29.64, 25
32.50, 44
36.60, 26
46.98, 18
50.92, 23
56.64, 22